Entry 1:
The following is a simulated powder diffractogram of Ho5InRh4. It was derived from DFT lattice parameters and positions (PBE), using Cu Ka.

The 10 most intense peaks (2θ = 5–70°), by angle:
two_theta	intensity
5.01	5
25.75	6
32.90	5
36.37	100
36.74	57
40.25	9
51.83	5
52.93	20
65.20	11
65.92	35

Crystal structure
abc: 3.4596 3.4596 17.6413
angles: 90.00 90.00 90.00
Fractional coordinates of all 10 atoms:
Ho  0.0000  0.0000  0.0000
Ho  0.0000  0.0000  0.1900
Ho  0.0000  0.0000  0.3786
Ho  0.0000  0.0000  0.6214
Ho  0.0000  0.0000  0.8100
In  0.5000  0.5000  0.5000
Rh  0.5000  0.5000  0.0948
Rh  0.5000  0.5000  0.2867
Rh  0.5000  0.5000  0.7133
Rh  0.5000  0.5000  0.9052

Entry 2:
The following is a simulated powder diffractogram of Ho11In9Rh4. It was derived from DFT lattice parameters and positions (PBE), using Cu Ka.

The 10 most intense peaks (2θ = 5–70°), by angle:
two_theta	intensity
31.89	9
33.02	13
34.77	100
34.99	40
37.03	18
37.76	10
38.10	11
49.66	15
62.19	16
62.62	9

Crystal structure
abc: 13.0698 13.0698 3.6718
angles: 90.00 90.00 112.52
Fractional coordinates of all 24 atoms:
Ho  0.0000  0.0000  0.0000
Ho  0.0784  0.4163  0.0000
Ho  0.1614  0.8386  0.0000
Ho  0.3117  0.3117  0.0000
Ho  0.3741  0.6259  0.0000
Ho  0.4163  0.0784  0.0000
Ho  0.5837  0.9216  0.0000
Ho  0.6259  0.3741  0.0000
Ho  0.6883  0.6883  0.0000
Ho  0.8386  0.1614  0.0000
Ho  0.9216  0.5837  0.0000
In  0.0744  0.2172  0.5000
In  0.1571  0.6321  0.5000
In  0.2172  0.0744  0.5000
In  0.3679  0.8429  0.5000
In  0.5000  0.5000  0.5000
In  0.6321  0.1571  0.5000
In  0.7828  0.9256  0.5000
In  0.8429  0.3679  0.5000
In  0.9256  0.7828  0.5000
Rh  0.2469  0.4490  0.5000
Rh  0.4490  0.2469  0.5000
Rh  0.5510  0.7531  0.5000
Rh  0.7531  0.5510  0.5000

Entry 3:
The following is a simulated powder diffractogram of HoIn2Rh3. It was derived from DFT lattice parameters and positions (PBE), using Cu Ka.

The 8 most intense peaks (2θ = 5–70°), by angle:
two_theta	intensity
23.44	1
27.13	2
32.43	1
38.74	100
45.78	1
47.94	1
55.95	17
63.26	1

Crystal structure
abc: 4.6502 4.6502 11.3783
angles: 90.00 90.00 120.00
Fractional coordinates of all 12 atoms:
Ho  0.3333  0.6667  0.1688
Ho  0.6667  0.3333  0.8312
In  0.0000  0.0000  0.0000
In  0.0000  0.0000  0.5000
In  0.3333  0.6667  0.6666
In  0.6667  0.3333  0.3334
Rh  0.0000  0.0000  0.2580
Rh  0.0000  0.0000  0.7420
Rh  0.3333  0.6667  0.4222
Rh  0.3333  0.6667  0.9162
Rh  0.6667  0.3333  0.0838
Rh  0.6667  0.3333  0.5778

Entry 4:
The following is a simulated powder diffractogram of Ho5InRu4. It was derived from DFT lattice parameters and positions (PBE), using Cu Ka.

The 10 most intense peaks (2θ = 5–70°), by angle:
two_theta	intensity
26.13	7
32.99	7
36.34	100
37.29	61
40.10	17
53.76	21
64.75	8
66.63	34
69.14	7
69.57	10

Crystal structure
abc: 3.4103 3.4103 17.9456
angles: 90.00 90.00 90.00
Fractional coordinates of all 10 atoms:
Ho  0.0000  0.0000  0.0000
Ho  0.0000  0.0000  0.1865
Ho  0.0000  0.0000  0.3725
Ho  0.0000  0.0000  0.6275
Ho  0.0000  0.0000  0.8135
In  0.5000  0.5000  0.5000
Ru  0.5000  0.5000  0.0947
Ru  0.5000  0.5000  0.2857
Ru  0.5000  0.5000  0.7143
Ru  0.5000  0.5000  0.9053

Entry 5:
The following is a simulated powder diffractogram of HoIn2S4. It was derived from DFT lattice parameters and positions (PBE), using Cu Ka.

The 10 most intense peaks (2θ = 5–70°), by angle:
two_theta	intensity
14.53	22
21.47	40
25.12	100
25.31	36
28.96	28
30.83	43
34.79	22
43.37	39
43.73	45
45.41	28

Crystal structure
abc: 12.5670 4.1415 7.2555
angles: 90.00 104.03 90.00
Fractional coordinates of all 14 atoms:
Ho  0.0000  0.0000  0.0000
Ho  0.5000  0.5000  0.0000
In  0.1315  0.5000  0.5654
In  0.3685  0.0000  0.4346
In  0.6315  0.0000  0.5654
In  0.8685  0.5000  0.4346
S  0.1138  0.5000  0.8978
S  0.1456  0.0000  0.3573
S  0.3544  0.5000  0.6427
S  0.3862  0.0000  0.1022
S  0.6138  0.0000  0.8978
S  0.6456  0.5000  0.3573
S  0.8544  0.0000  0.6427
S  0.8862  0.5000  0.1022

Entry 6:
The following is a simulated powder diffractogram of Ho3InS6. It was derived from DFT lattice parameters and positions (PBE), using Cu Ka.

The 10 most intense peaks (2θ = 5–70°), by angle:
two_theta	intensity
25.34	100
26.47	87
27.29	28
31.38	41
32.56	35
34.82	46
35.90	45
41.34	34
45.16	33
47.36	35

Crystal structure
abc: 13.4552 16.4923 3.8388
angles: 90.00 90.00 90.00
Fractional coordinates of all 40 atoms:
Ho  0.0381  0.2249  0.2505
Ho  0.1899  0.6454  0.2503
Ho  0.2504  0.3919  0.2502
Ho  0.2496  0.8919  0.7498
Ho  0.3101  0.1454  0.7497
Ho  0.4619  0.7249  0.7495
Ho  0.5381  0.2751  0.7495
Ho  0.6899  0.8546  0.7497
Ho  0.7504  0.1081  0.7498
Ho  0.7496  0.6081  0.2502
Ho  0.8101  0.3546  0.2503
Ho  0.9619  0.7751  0.2505
In  0.0000  0.0000  0.7481
In  0.0000  0.5000  0.7501
In  0.5000  0.0000  0.2499
In  0.5000  0.5000  0.2519
S  0.0205  0.3945  0.2501
S  0.0973  0.9114  0.2499
S  0.1108  0.1193  0.7506
S  0.1137  0.7456  0.7503
S  0.1815  0.2862  0.7502
S  0.1938  0.5206  0.7503
S  0.3062  0.0206  0.2497
S  0.3185  0.7862  0.2498
S  0.3863  0.2456  0.2497
S  0.3892  0.6193  0.2494
S  0.4027  0.4114  0.7501
S  0.4795  0.8945  0.7499
S  0.5205  0.1055  0.7499
S  0.5973  0.5886  0.7501
S  0.6108  0.3807  0.2494
S  0.6137  0.7544  0.2497
S  0.6815  0.2138  0.2498
S  0.6938  0.9794  0.2497
S  0.8062  0.4794  0.7503
S  0.8185  0.7138  0.7502
S  0.8863  0.2544  0.7503
S  0.8892  0.8807  0.7506
S  0.9027  0.0886  0.2499
S  0.9795  0.6055  0.2501

Entry 7:
The following is a simulated powder diffractogram of Ho3TiIn3S8. It was derived from DFT lattice parameters and positions (PBE), using Cu Ka.

The 10 most intense peaks (2θ = 5–70°), by angle:
two_theta	intensity
11.87	21
15.44	21
23.88	23
27.86	41
31.18	100
42.14	37
47.09	31
49.02	14
53.47	17
57.56	16

Crystal structure
abc: 8.6840 8.6840 8.6840
angles: 52.78 52.78 52.78
Fractional coordinates of all 15 atoms:
Ho  0.0000  0.5000  0.5000
Ho  0.5000  0.0000  0.5000
Ho  0.5000  0.5000  0.0000
Ti  0.0000  0.0000  0.0000
In  0.0000  0.0000  0.5000
In  0.0000  0.5000  0.0000
In  0.5000  0.0000  0.0000
S  0.2173  0.2173  0.7587
S  0.2173  0.7587  0.2173
S  0.2413  0.7827  0.7827
S  0.2653  0.2653  0.2653
S  0.7347  0.7347  0.7347
S  0.7587  0.2173  0.2173
S  0.7827  0.2413  0.7827
S  0.7827  0.7827  0.2413